Theoretical X-ray diffraction stick pattern
Compound: Li4Ni3SbO8
Radiation: λ = 1.5418 Å (Cu Kα)
Structure: the GGA+U geometry in the Materials Project
No peak broadening, texture or thermal motion is included.

Structural model:
a b c (Å): 5.975 5.975 10.353
angles (deg): 106.54 106.54 60.37
Positions (direct):
1 Li 0.012 0.988 0.500
2 Li 0.256 0.755 0.759
3 Li 0.256 0.757 0.260
4 Li 0.500 0.526 0.020
5 Li 0.526 0.500 0.520
6 Li 0.755 0.256 0.259
7 Li 0.757 0.256 0.760
8 Li 0.988 0.012 0.000
9 Ni 0.004 0.508 0.509
10 Ni 0.256 0.257 0.760
11 Ni 0.257 0.256 0.260
12 Ni 0.508 0.004 0.009
13 Ni 0.756 0.756 0.260
14 Ni 0.756 0.756 0.760
15 Sb 0.010 0.503 0.010
16 Sb 0.503 0.010 0.510
17 O 0.097 0.630 0.373
18 O 0.124 0.627 0.890
19 O 0.131 0.146 0.892
20 O 0.146 0.131 0.392
21 O 0.366 0.382 0.127
22 O 0.382 0.366 0.627
23 O 0.388 0.886 0.630
24 O 0.417 0.883 0.147
25 O 0.627 0.124 0.390
26 O 0.628 0.655 0.387
27 O 0.630 0.097 0.873
28 O 0.655 0.628 0.887
29 O 0.858 0.884 0.632
30 O 0.883 0.417 0.647
31 O 0.884 0.858 0.132
32 O 0.886 0.388 0.130

Peak list (6 most intense, 2θ from 5° to 70°, sorted by position)
d 4.878, I 100
d 2.559, I 32
d 2.446, I 20
d 2.121, I 42
d 2.108, I 21
d 1.497, I 18